Computed powder diffractogram of Ni7P6O24 for λ = 1.5418 Å (Cu Kα), from a crystal structure in the Materials Project, relaxed with PBE+U.

Main lines, by angle (10° ≤ 2θ ≤ 90°):
| 2θ (°) | I_rel |
| --- | --- |
| 10.9 | 173 |
| 12.4 | 498 |
| 14.0 | 1000 |
| 23.7 | 488 |
| 33.0 | 533 |
| 33.2 | 520 |
| 37.9 | 152 |
| 38.9 | 175 |
| 41.8 | 177 |
| 57.7 | 131 |

Structural model:
a = 8.800 Å, b = 8.800 Å, c = 6.572 Å
α = 99.25°, β = 99.25°, γ = 108.04°
Fractional positions:
Ni 0.000 0.000 0.000
Ni 0.000 0.360 0.813
Ni 0.004 0.641 0.191
Ni 0.331 0.672 0.002
Ni 0.360 0.000 0.813
Ni 0.641 0.004 0.191
Ni 0.672 0.331 0.002
P 0.090 0.723 0.707
P 0.279 0.914 0.296
P 0.326 0.326 0.069
P 0.676 0.676 0.937
P 0.723 0.090 0.707
P 0.914 0.279 0.296
O 0.026 0.344 0.513
O 0.041 0.611 0.868
O 0.093 0.889 0.207
O 0.112 0.908 0.793
O 0.197 0.197 0.139
O 0.244 0.425 0.935
O 0.258 0.726 0.280
O 0.279 0.747 0.724
O 0.344 0.026 0.513
O 0.391 0.966 0.136
O 0.425 0.244 0.935
O 0.451 0.451 0.262
O 0.549 0.549 0.749
O 0.579 0.760 0.072
O 0.611 0.041 0.868
O 0.655 0.979 0.490
O 0.726 0.258 0.280
O 0.747 0.279 0.724
O 0.760 0.579 0.072
O 0.803 0.803 0.863
O 0.889 0.093 0.207
O 0.908 0.112 0.793
O 0.966 0.391 0.136
O 0.979 0.655 0.490

Computed powder diffractogram of NiP3O9 for λ = 1.5418 Å (Cu Kα), from a crystal structure in the Materials Project, relaxed with PBE+U.

Main lines, by angle (10° ≤ 2θ ≤ 90°):
| 2θ (°) | I_rel |
| --- | --- |
| 13.7 | 1000 |
| 14.9 | 337 |
| 16.4 | 407 |
| 19.1 | 129 |
| 22.4 | 293 |
| 23.6 | 113 |
| 24.1 | 251 |
| 27.0 | 174 |
| 33.0 | 242 |
| 33.1 | 153 |

Structural model:
a = 5.047 Å, b = 11.929 Å, c = 12.881 Å
α = 90.00°, β = 90.00°, γ = 90.00°
Fractional positions:
Ni 0.000 0.000 0.000
Ni 0.000 0.000 0.500
Ni 0.000 0.500 0.000
Ni 0.000 0.500 0.500
P 0.232 0.250 0.000
P 0.232 0.250 0.500
P 0.498 0.583 0.132
P 0.498 0.583 0.368
P 0.498 0.917 0.632
P 0.498 0.917 0.868
P 0.502 0.083 0.132
P 0.502 0.083 0.368
P 0.502 0.417 0.632
P 0.502 0.417 0.868
P 0.768 0.750 0.000
P 0.768 0.750 0.500
O 0.080 0.154 0.546
O 0.080 0.154 0.954
O 0.080 0.346 0.046
O 0.080 0.346 0.454
O 0.206 0.562 0.123
O 0.206 0.562 0.377
O 0.206 0.938 0.623
O 0.206 0.938 0.877
O 0.317 0.504 0.587
O 0.317 0.504 0.913
O 0.317 0.996 0.087
O 0.317 0.996 0.413
O 0.424 0.103 0.250
O 0.424 0.397 0.750
O 0.433 0.206 0.087
O 0.433 0.206 0.413
O 0.433 0.294 0.587
O 0.433 0.294 0.913
O 0.567 0.706 0.087
O 0.567 0.706 0.413
O 0.567 0.794 0.587
O 0.567 0.794 0.913
O 0.576 0.603 0.250
O 0.576 0.897 0.750
O 0.683 0.004 0.587
O 0.683 0.004 0.913
O 0.683 0.496 0.087
O 0.683 0.496 0.413
O 0.794 0.062 0.123
O 0.794 0.062 0.377
O 0.794 0.438 0.623
O 0.794 0.438 0.877
O 0.920 0.654 0.546
O 0.920 0.654 0.954
O 0.920 0.846 0.046
O 0.920 0.846 0.454

Computed powder diffractogram of NiP4O12 for λ = 1.5418 Å (Cu Kα), from a crystal structure in the Materials Project, relaxed with PBE+U.

Main lines, by angle (10° ≤ 2θ ≤ 90°):
| 2θ (°) | I_rel |
| --- | --- |
| 13.7 | 264 |
| 14.7 | 897 |
| 18.8 | 609 |
| 19.0 | 571 |
| 19.6 | 393 |
| 24.1 | 330 |
| 26.3 | 283 |
| 26.7 | 273 |
| 30.0 | 1000 |
| 44.0 | 264 |

Structural model:
a = 7.398 Å, b = 7.398 Å, c = 10.098 Å
α = 111.86°, β = 111.86°, γ = 64.47°
Fractional positions:
Ni 0.000 0.500 0.000
Ni 0.500 0.000 0.500
P 0.169 0.188 0.687
P 0.188 0.169 0.187
P 0.237 0.746 0.984
P 0.254 0.763 0.516
P 0.746 0.237 0.484
P 0.763 0.254 0.016
P 0.812 0.831 0.813
P 0.831 0.812 0.313
O 0.048 0.822 0.848
O 0.049 0.708 0.420
O 0.160 0.685 0.075
O 0.170 0.293 0.844
O 0.178 0.952 0.652
O 0.190 0.343 0.144
O 0.292 0.951 0.080
O 0.293 0.170 0.344
O 0.315 0.840 0.425
O 0.343 0.190 0.644
O 0.407 0.585 0.584
O 0.415 0.593 0.916
O 0.585 0.407 0.084
O 0.593 0.415 0.416
O 0.657 0.810 0.356
O 0.685 0.160 0.575
O 0.707 0.830 0.656
O 0.708 0.049 0.920
O 0.810 0.657 0.856
O 0.822 0.048 0.348
O 0.830 0.707 0.156
O 0.840 0.315 0.925
O 0.951 0.292 0.580
O 0.952 0.178 0.152

Computed powder diffractogram of NiP2Pb2O8 for λ = 1.5418 Å (Cu Kα), from a crystal structure in the Materials Project, relaxed with PBE+U.

Main lines, by angle (10° ≤ 2θ ≤ 90°):
| 2θ (°) | I_rel |
| --- | --- |
| 20.3 | 273 |
| 22.7 | 263 |
| 26.0 | 731 |
| 27.3 | 324 |
| 29.0 | 1000 |
| 30.9 | 343 |
| 33.1 | 303 |
| 33.4 | 354 |
| 47.2 | 296 |
| 58.3 | 238 |

Structural model:
a = 5.361 Å, b = 15.685 Å, c = 8.561 Å
α = 90.00°, β = 90.03°, γ = 90.00°
Fractional positions:
Ni 0.216 0.135 0.479
Ni 0.216 0.365 0.979
Ni 0.784 0.635 0.021
Ni 0.784 0.865 0.521
P 0.243 0.574 0.923
P 0.243 0.926 0.423
P 0.259 0.165 0.094
P 0.259 0.335 0.594
P 0.741 0.665 0.406
P 0.741 0.835 0.906
P 0.757 0.074 0.577
P 0.757 0.426 0.077
Pb 0.249 0.508 0.323
Pb 0.249 0.992 0.823
Pb 0.264 0.736 0.682
Pb 0.264 0.764 0.182
Pb 0.736 0.236 0.818
Pb 0.736 0.264 0.318
Pb 0.751 0.008 0.177
Pb 0.751 0.492 0.677
O 0.013 0.598 0.816
O 0.013 0.902 0.316
O 0.101 0.241 0.032
O 0.101 0.259 0.532
O 0.103 0.081 0.073
O 0.103 0.419 0.573
O 0.149 0.596 0.093
O 0.149 0.904 0.593
O 0.320 0.018 0.396
O 0.320 0.482 0.896
O 0.331 0.182 0.267
O 0.331 0.318 0.767
O 0.460 0.638 0.883
O 0.460 0.862 0.383
O 0.493 0.652 0.499
O 0.493 0.848 0.999
O 0.507 0.152 0.001
O 0.507 0.348 0.501
O 0.540 0.138 0.617
O 0.540 0.362 0.117
O 0.669 0.682 0.233
O 0.669 0.818 0.733
O 0.680 0.518 0.104
O 0.680 0.982 0.604
O 0.851 0.096 0.407
O 0.851 0.404 0.907
O 0.897 0.581 0.427
O 0.897 0.919 0.927
O 0.899 0.741 0.468
O 0.899 0.759 0.968
O 0.987 0.098 0.684
O 0.987 0.402 0.184

Computed powder diffractogram of Ni3P4PbO14 for λ = 1.5418 Å (Cu Kα), from a crystal structure in the Materials Project, relaxed with PBE+U.

Main lines, by angle (10° ≤ 2θ ≤ 90°):
| 2θ (°) | I_rel |
| --- | --- |
| 15.2 | 868 |
| 20.1 | 930 |
| 22.2 | 867 |
| 22.8 | 751 |
| 26.2 | 854 |
| 26.4 | 803 |
| 30.4 | 790 |
| 33.1 | 1000 |
| 33.7 | 806 |
| 36.0 | 771 |

Structural model:
a = 7.486 Å, b = 7.796 Å, c = 9.530 Å
α = 90.00°, β = 112.04°, γ = 90.00°
Fractional positions:
Ni 0.000 0.000 0.000
Ni 0.000 0.500 0.500
Ni 0.185 0.124 0.526
Ni 0.185 0.376 0.026
Ni 0.815 0.624 0.974
Ni 0.815 0.876 0.474
P 0.109 0.702 0.805
P 0.109 0.798 0.305
P 0.396 0.058 0.299
P 0.396 0.442 0.799
P 0.604 0.558 0.201
P 0.604 0.942 0.701
P 0.891 0.202 0.695
P 0.891 0.298 0.195
Pb 0.500 0.000 0.000
Pb 0.500 0.500 0.500
O 0.004 0.209 0.866
O 0.004 0.291 0.366
O 0.027 0.575 0.887
O 0.027 0.925 0.387
O 0.153 0.626 0.387
O 0.153 0.874 0.887
O 0.267 0.121 0.136
O 0.267 0.379 0.636
O 0.316 0.629 0.816
O 0.316 0.871 0.316
O 0.377 0.174 0.420
O 0.377 0.326 0.920
O 0.399 0.523 0.193
O 0.399 0.977 0.693
O 0.601 0.023 0.307
O 0.601 0.477 0.807
O 0.623 0.674 0.080
O 0.623 0.826 0.580
O 0.684 0.129 0.684
O 0.684 0.371 0.184
O 0.733 0.621 0.364
O 0.733 0.879 0.864
O 0.847 0.126 0.113
O 0.847 0.374 0.613
O 0.973 0.075 0.613
O 0.973 0.425 0.113
O 0.996 0.709 0.634
O 0.996 0.791 0.134